Simulated powder diffraction line list of LiCl3 for Cu Kα X-rays, from a structure optimized by DFT (GGA-PBE).
Kinematic intensities with the Lorentz-polarization factor, no thermal factor.

Most intense lines, 2θ = 10–90°, sorted by position:
h k l	2θ/deg	d [Å]	I/Imax
0 1 0	14.71	6.023	16
0 1 1	24.90	3.576	100
1 1 0	26.42	3.373	33
0 2 0	29.66	3.012	35
1 0 1	35.83	2.506	13
2 0 -1	39.84	2.262	12
1 2 1	47.16	1.927	19
2 1 -2	47.99	1.896	15
0 3 1	49.84	1.830	12
2 2 -1	50.45	1.809	11

Structural model:
```
data_LiCl3
_chemical_formula_sum 'Li1 Cl3'
_cell_length_a 4.5262
_cell_length_b 6.0231
_cell_length_c 4.9409
_cell_angle_alpha 90.00
_cell_angle_beta 115.91
_cell_angle_gamma 90.00
_space_group_name_H-M_alt 'P 1 2/m 1'
_space_group_IT_number 10
loop_
_space_group_symop_operation_xyz
'x,y,z'
'-x,-y,-z'
'-x,y,-z'
'x,-y,z'
loop_
_atom_site_label
_atom_site_type_symbol
_atom_site_fract_x
_atom_site_fract_y
_atom_site_fract_z
_atom_site_occupancy
Li1 Li 0.0000 0.0000 0.0000 1
Cl1 Cl 0.1722 0.5000 0.4217 1
Cl2 Cl 0.5000 0.0000 0.0000 1
```